Theoretical powder XRD pattern of ZnGe2WO6 for CuKα, from DFT lattice parameters and positions (PBE+U).

Cell and atoms:
Lattice parameters (Å, degrees): 12.5724 8.7596 5.5360 90.00 102.23 90.00
Space group P2_1/c (No. 14)
One atom of each set of equivalent atoms:
Zn  0.2229  0.0503  0.4472 x4
Ge  0.0845  0.1341  0.8515 x4
Ge  0.4614  0.1604  0.2143 x4
W  0.2974  0.6575  0.4819 x4
O  0.1491  0.1932  0.1962 x4
O  0.2014  0.0060  0.7836 x4
O  0.2267  0.6551  0.7909 x4
O  0.3943  0.6693  0.2029 x4
O  0.4005  0.2153  0.4662 x4
O  0.4206  0.5273  0.6641 x4

Most intense lines, 10° ≤ 2θ ≤ 80°, low angle first:
7.133 Å, rel. 484, (1 1 0); 6.144 Å, rel. 485, (2 0 0); 5.030 Å, rel. 573, (2 1 0); 3.710 Å, rel. 652, (3 1 0); 3.174 Å, rel. 1000, (1 2 1); 2.808 Å, rel. 418, (3 2 -1); 2.695 Å, rel. 402, (2 0 -2); 2.570 Å, rel. 467, (0 3 1); 2.461 Å, rel. 312, (2 3 -1); 1.611 Å, rel. 342, (3 5 0)

***

Theoretical powder XRD pattern of K2MgMnH4I4O14 for CuKα, from DFT lattice parameters and positions (PBE+U).

Cell and atoms:
Lattice parameters (Å, degrees): 7.9590 8.0908 8.3396 91.09 114.01 119.06
Space group P1 (No. 1)
One atom of each set of equivalent atoms:
K  0.0000  0.0000  0.0000 x1
K  0.4849  0.5031  0.0020 x1
Mg  0.9378  0.6478  0.3882 x1
Mn  0.4751  0.9654  0.5698 x1
H  0.1722  0.4676  0.6064 x1
H  0.2449  0.7329  0.7134 x1
H  0.7236  0.3158  0.5220 x1
H  0.9058  0.2611  0.6085 x1
I  0.0499  0.0827  0.4576 x1
I  0.0696  0.5529  0.0928 x1
I  0.5439  0.0342  0.0451 x1
I  0.5583  0.5558  0.5702 x1
O  0.1625  0.3585  0.6623 x1
O  0.2178  0.4315  0.1752 x1
O  0.2178  0.7194  0.5859 x1
O  0.2471  0.7964  0.2547 x1
O  0.3410  0.1608  0.5074 x1
O  0.3461  0.7663  0.9536 x1
O  0.3614  0.1214  0.9682 x1
O  0.6551  0.0737  0.8840 x1
O  0.6601  0.8175  0.5864 x1
O  0.7122  0.5176  0.4706 x1
O  0.7230  0.5846  0.8097 x1
O  0.7417  0.2044  0.5484 x1
O  0.8721  0.4473  0.1857 x1
O  0.8879  0.8359  0.2641 x1

Most intense lines, 10° ≤ 2θ ≤ 80°, low angle first:
5.717 Å, rel. 773, (-1 1 1); 4.415 Å, rel. 601, (1 -1 1); 4.056 Å, rel. 575, (1 1 -1); 3.667 Å, rel. 1000, (0 0 2); 3.404 Å, rel. 703, (0 2 0); 3.344 Å, rel. 795, (2 -2 0); 3.222 Å, rel. 583, (2 0 -2); 3.059 Å, rel. 386, (2 0 0); 2.918 Å, rel. 351, (0 2 -2); 2.858 Å, rel. 339, (-2 2 2)

***

Theoretical powder XRD pattern of K2MnH4I4O14 for CuKα, from DFT lattice parameters and positions (PBE+U).

Cell and atoms:
Lattice parameters (Å, degrees): 14.0558 8.0417 8.3939 90.00 126.33 90.00
Space group C2 (No. 5)
One atom of each set of equivalent atoms:
K  0.0000  0.0000  0.0000 x2
K  0.0000  0.4796  0.0000 x2
Mn  0.0000  0.5451  0.5000 x2
H  0.0468  0.8796  0.6251 x4
H  0.0480  0.2138  0.4719 x4
I  0.2248  0.7192  0.4825 x4
I  0.2377  0.7337  0.9836 x4
O  0.0000  0.2823  0.5000 x2
O  0.0000  0.8133  0.5000 x2
O  0.1246  0.5742  0.8300 x4
O  0.1313  0.1258  0.4159 x4
O  0.1423  0.9185  0.8685 x4
O  0.1461  0.5282  0.4681 x4
O  0.1597  0.7359  0.2182 x4
O  0.1815  0.2427  0.1258 x4

Most intense lines, 10° ≤ 2θ ≤ 80°, low angle first:
5.662 Å, rel. 663, (2 0 0); 4.197 Å, rel. 374, (2 0 -2); 4.021 Å, rel. 417, (0 2 0); 3.381 Å, rel. 654, (0 0 2); 3.362 Å, rel. 591, (4 0 -2); 3.278 Å, rel. 1000, (2 2 0); 2.903 Å, rel. 494, (2 2 -2); 2.098 Å, rel. 200, (4 0 -4); 2.031 Å, rel. 245, (2 2 2); 2.023 Å, rel. 236, (6 2 -2)

***

Theoretical powder XRD pattern of LaVH2I4O15 for CuKα, from DFT lattice parameters and positions (PBE+U).

Cell and atoms:
Lattice parameters (Å, degrees): 7.2541 14.2839 7.3591 90.00 115.48 90.00
Space group P2_1 (No. 4)
One atom of each set of equivalent atoms:
La  0.0854  0.0000  0.4309 x2
V  0.4291  0.3278  0.2165 x2
H  0.1698  0.6994  0.3751 x2
H  0.2294  0.7869  0.2853 x2
I  0.1458  0.8663  0.9293 x2
I  0.2510  0.2540  0.6977 x2
I  0.2557  0.5575  0.1328 x2
I  0.4745  0.0912  0.2337 x2
O  0.0507  0.5934  0.8946 x2
O  0.0599  0.3455  0.5842 x2
O  0.0803  0.1553  0.5820 x2
O  0.0890  0.9759  0.7868 x2
O  0.1991  0.9101  0.1807 x2
O  0.2353  0.7177  0.2879 x2
O  0.2427  0.2494  0.9454 x2
O  0.2511  0.4323  0.0488 x2
O  0.2770  0.2980  0.3239 x2
O  0.2876  0.5275  0.6436 x2
O  0.3872  0.8976  0.6165 x2
O  0.3918  0.0853  0.4367 x2
O  0.4078  0.7103  0.7178 x2
O  0.4163  0.8475  0.9904 x2
O  0.4789  0.5999  0.1041 x2

Most intense lines, 10° ≤ 2θ ≤ 80°, low angle first:
4.827 Å, rel. 437, (1 2 0); 3.851 Å, rel. 719, (1 3 0); 3.765 Å, rel. 931, (1 1 1); 3.666 Å, rel. 492, (1 0 -2); 3.551 Å, rel. 509, (1 1 -2); 3.508 Å, rel. 1000, (2 1 -1); 3.423 Å, rel. 592, (1 2 1); 3.234 Å, rel. 564, (0 1 2); 3.142 Å, rel. 605, (0 4 1); 3.015 Å, rel. 429, (1 3 1)

***

Theoretical powder XRD pattern of NaVH2I2O9 for CuKα, from DFT lattice parameters and positions (PBE+U).

Cell and atoms:
Lattice parameters (Å, degrees): 9.1619 5.3392 9.2481 90.00 110.54 90.00
Space group P2_1 (No. 4)
One atom of each set of equivalent atoms:
Na  0.0401  0.0000  0.3279 x2
V  0.2744  0.4753  0.6134 x2
H  0.0306  0.4717  0.1825 x2
H  0.1057  0.3069  0.0875 x2
I  0.3218  0.0837  0.9336 x2
I  0.3790  0.6578  0.3130 x2
O  0.1135  0.3447  0.1940 x2
O  0.1161  0.3060  0.5276 x2
O  0.1215  0.1989  0.8757 x2
O  0.2261  0.6868  0.7214 x2
O  0.2594  0.8509  0.1559 x2
O  0.2595  0.7104  0.4390 x2
O  0.3865  0.2303  0.7761 x2
O  0.4200  0.3157  0.0784 x2
O  0.4766  0.4037  0.5741 x2

Most intense lines, 10° ≤ 2θ ≤ 80°, low angle first:
8.580 Å, rel. 671, (1 0 0); 4.547 Å, rel. 487, (0 1 1); 3.741 Å, rel. 1000, (1 1 1); 3.469 Å, rel. 284, (1 1 -2); 3.453 Å, rel. 238, (2 1 -1); 3.363 Å, rel. 156, (0 1 2); 3.085 Å, rel. 517, (1 0 -3); 3.053 Å, rel. 136, (3 0 -1); 2.870 Å, rel. 153, (2 1 1); 2.102 Å, rel. 175, (1 2 2)